For Li11Ni13O24, a PBE+U-relaxed structure gives the simulated PXRD pattern in this record (Cu Kα X-rays).

Cell and atoms:
Cell lengths 12.529, 8.691, 9.713 Å; angles 90.00, 128.88, 90.00 degrees
Space group C2/m (No. 12)
Asymmetric unit:
Li: 0.000 0.000 0.000
Li: 0.000 0.165 0.500
Li: 0.000 0.333 0.000
Li: 0.248 0.165 0.248
Li: 0.250 0.000 0.747
Ni: 0.000 0.500 0.500
Ni: 0.124 0.000 0.373
Ni: 0.124 0.500 0.873
Ni: 0.125 0.334 0.376
Ni: 0.128 0.165 0.877
O: 0.053 0.500 0.190
O: 0.056 0.335 0.689
O: 0.057 0.160 0.197
O: 0.074 0.000 0.710
O: 0.185 0.500 0.555
O: 0.187 0.328 0.048
O: 0.190 0.159 0.550
O: 0.203 0.000 0.067

Peak list (8 most intense, 2θ = 10–80°, in order of rising 2θ)
2θ = 18.60°, rel. 100.0; 2θ = 36.40°, rel. 28.8; 2θ = 36.86°, rel. 13.1; 2θ = 38.20°, rel. 24.2; 2θ = 43.99°, rel. 63.4; 2θ = 44.78°, rel. 29.6; 2θ = 64.25°, rel. 16.8; 2θ = 64.91°, rel. 16.7